Diffraction record for Ag2Sn3. The PXRD pattern is simulated, not measured: it uses a DFT-relaxed cell (GGA-PBE, Alexandria) and Cu Kα X-rays.

Atomic structure:
abc: 7.1614 7.1614 17.6103
angles: 90.00 90.00 120.00
Space group R-3c (No. 167, hexagonal axes)
Symmetry-distinct sites (fractional):
Ag 0.0000 0.0000 0.1706 [12 per cell]
Sn 0.0000 0.3588 0.2500 [18 per cell]

Most intense lines, 10° ≤ 2θ ≤ 90°, in order of rising 2θ:
2theta, Rel. int., (hkl)
17.49, 15, 0 1 2
29.21, 100, 1 1 3
30.56, 18, 2 0 2
39.72, 83, 1 1 6
43.79, 59, 3 0 0
53.36, 21, 1 1 9
53.51, 19, 2 2 3
60.58, 19, 2 2 6
77.71, 22, 4 1 6
80.21, 19, 3 0 12